[1]
The following is a computed X-ray diffraction stick pattern of Li2Tl5S4. It was derived from DFT lattice parameters and positions (GGA-PBE), using Cu Kα, 1.54184 Å.
Kinematic intensities with the Lorentz-polarization factor, no thermal factor.

```
data_Li2Tl5S4
_chemical_formula_sum 'Li2 Tl5 S4'
_cell_length_a 3.956
_cell_length_b 8.979
_cell_length_c 9.682
_cell_angle_alpha 110.33
_cell_angle_beta 90.07
_cell_angle_gamma 102.67
_symmetry_space_group_name_H-M 'P -1'
_symmetry_Int_Tables_number 2
loop_
_symmetry_equiv_pos_as_xyz
'x,y,z'
'-x,-y,-z'
loop_
_atom_site_label
_atom_site_type_symbol
_atom_site_fract_x
_atom_site_fract_y
_atom_site_fract_z
Li1 Li 0.014 0.031 0.151
Tl1 Tl 0.000 0.000 0.500
Tl2 Tl 0.301 0.603 0.718
Tl3 Tl 0.351 0.701 0.151
S1 S 0.123 0.247 0.044
S2 S 0.461 0.920 0.682
```

Main lines, low angle first (2θ = 5–70°):
| index | two_theta | d (Å) | I (rel.) |
| --- | --- | --- | --- |
| 0 1 -1 | 11.7 | 7.555 | 26 |
| 0 2 -1 | 20.4 | 4.357 | 50 |
| 0 1 2 | 25.7 | 3.470 | 64 |
| 1 -2 0 | 27.9 | 3.203 | 81 |
| 1 -1 2 | 29.2 | 3.059 | 100 |
| 0 3 -3 | 35.6 | 2.519 | 22 |
| 1 2 -3 | 39.8 | 2.265 | 20 |
| 1 2 2 | 45.7 | 1.983 | 26 |
| 2 -1 0 | 45.9 | 1.978 | 32 |
| 2 0 2 | 53.3 | 1.718 | 22 |

---

[2]
The following is a computed X-ray diffraction stick pattern of Hf6NbCo. It was derived from DFT lattice parameters and positions (GGA-PBE), using Cu Kα, 1.54184 Å.
Kinematic intensities with the Lorentz-polarization factor, no thermal factor.

```
data_Hf6NbCo
_chemical_formula_sum 'Hf6 Nb1 Co1'
_cell_length_a 5.585
_cell_length_b 5.588
_cell_length_c 5.730
_cell_angle_alpha 96.98
_cell_angle_beta 97.09
_cell_angle_gamma 112.71
_symmetry_space_group_name_H-M 'P -1'
_symmetry_Int_Tables_number 2
loop_
_symmetry_equiv_pos_as_xyz
'x,y,z'
'-x,-y,-z'
loop_
_atom_site_label
_atom_site_type_symbol
_atom_site_fract_x
_atom_site_fract_y
_atom_site_fract_z
Hf1 Hf 0.132 0.176 0.232
Hf2 Hf 0.255 0.755 0.466
Hf3 Hf 0.325 0.367 0.769
Nb1 Nb 0.500 0.000 0.000
Co1 Co 0.000 0.500 0.000
```

Main lines, low angle first (2θ = 5–70°):
| index | two_theta | d (Å) | I (rel.) |
| --- | --- | --- | --- |
| 1 -1 1 | 24.9 | 3.575 | 15 |
| 0 2 0 | 35.5 | 2.532 | 16 |
| 2 0 -1 | 36.1 | 2.486 | 100 |
| 1 1 1 | 36.8 | 2.440 | 56 |
| 1 -1 2 | 37.6 | 2.395 | 97 |
| 2 -2 0 | 38.7 | 2.325 | 53 |
| 1 1 -3 | 51.6 | 1.770 | 14 |
| 3 -1 1 | 54.5 | 1.683 | 30 |
| 3 1 0 | 65.0 | 1.436 | 15 |
| 2 0 3 | 67.8 | 1.383 | 17 |

---

[3]
The following is a computed X-ray diffraction stick pattern of NaBi3Pd6. It was derived from DFT lattice parameters and positions (GGA-PBE), using Cu Kα, 1.54184 Å.
Kinematic intensities with the Lorentz-polarization factor, no thermal factor.

```
data_NaBi3Pd6
_chemical_formula_sum 'Na4 Bi12 Pd24'
_cell_length_a 10.729
_cell_length_b 12.649
_cell_length_c 6.106
_cell_angle_alpha 90.00
_cell_angle_beta 90.00
_cell_angle_gamma 90.00
_symmetry_space_group_name_H-M 'C m c 21'
_symmetry_Int_Tables_number 36
loop_
_symmetry_equiv_pos_as_xyz
'x,y,z'
'-x,-y,z+1/2'
'-x,y,z'
'x,-y,z+1/2'
'x+1/2,y+1/2,z'
'-x+1/2,-y+1/2,z+1/2'
'-x+1/2,y+1/2,z'
'x+1/2,-y+1/2,z+1/2'
loop_
_atom_site_label
_atom_site_type_symbol
_atom_site_fract_x
_atom_site_fract_y
_atom_site_fract_z
Na1 Na 0.000 0.198 0.000
Bi1 Bi 0.000 0.406 0.725
Bi2 Bi 0.204 0.070 0.480
Pd1 Pd 0.000 0.004 0.735
Pd2 Pd 0.000 0.209 0.472
Pd3 Pd 0.133 0.400 0.336
Pd4 Pd 0.227 0.273 0.691
```

Main lines, low angle first (2θ = 5–70°):
| index | two_theta | d (Å) | I (rel.) |
| --- | --- | --- | --- |
| 1 1 1 | 18.1 | 4.894 | 38 |
| 0 2 1 | 20.2 | 4.393 | 16 |
| 2 2 1 | 26.2 | 3.399 | 23 |
| 4 0 0 | 33.4 | 2.682 | 17 |
| 3 3 1 | 36.1 | 2.489 | 100 |
| 1 5 0 | 36.5 | 2.462 | 19 |
| 2 2 2 | 36.7 | 2.447 | 74 |
| 4 2 1 | 39.4 | 2.288 | 39 |
| 2 4 2 | 44.6 | 2.033 | 17 |
| 0 2 3 | 46.9 | 1.938 | 21 |

---

[4]
The following is a computed X-ray diffraction stick pattern of TbDy4Hg4. It was derived from DFT lattice parameters and positions (GGA-PBE), using Cu Kα, 1.54184 Å.
Kinematic intensities with the Lorentz-polarization factor, no thermal factor.

```
data_TbDy4Hg4
_chemical_formula_sum 'Tb2 Dy8 Hg8'
_cell_length_a 9.513
_cell_length_b 9.513
_cell_length_c 5.523
_cell_angle_alpha 90.00
_cell_angle_beta 90.00
_cell_angle_gamma 90.00
_symmetry_space_group_name_H-M 'P 42/n'
_symmetry_Int_Tables_number 86
loop_
_symmetry_equiv_pos_as_xyz
'x,y,z'
'-x,-y,-z'
'-y,x+1/2,z+1/2'
'y,-x+1/2,-z+1/2'
'-x+1/2,-y+1/2,z'
'x+1/2,y+1/2,-z'
'y+1/2,-x,z+1/2'
'-y+1/2,x,-z+1/2'
loop_
_atom_site_label
_atom_site_type_symbol
_atom_site_fract_x
_atom_site_fract_y
_atom_site_fract_z
Tb1 Tb 0.250 0.250 0.250
Dy1 Dy 0.098 0.839 0.650
Hg1 Hg 0.046 0.146 0.852
```

Main lines, low angle first (2θ = 5–70°):
| index | two_theta | d (Å) | I (rel.) |
| --- | --- | --- | --- |
| 2 1 1 | 26.4 | 3.370 | 29 |
| 3 1 0 | 29.7 | 3.008 | 92 |
| 2 2 1 | 31.1 | 2.873 | 48 |
| 3 0 1 | 32.6 | 2.750 | 73 |
| 1 0 2 | 33.8 | 2.652 | 48 |
| 2 3 1 | 37.8 | 2.380 | 100 |
| 2 1 2 | 38.9 | 2.316 | 65 |
| 5 0 2 | 59.0 | 1.566 | 41 |
| 2 6 0 | 61.7 | 1.504 | 32 |
| 5 4 1 | 65.0 | 1.435 | 24 |

---

[5]
The following is a computed X-ray diffraction stick pattern of ThNi7B2. It was derived from DFT lattice parameters and positions (GGA-PBE), using Cu Kα, 1.54184 Å.
Kinematic intensities with the Lorentz-polarization factor, no thermal factor.

```
data_ThNi7B2
_chemical_formula_sum 'Th2 Ni14 B4'
_cell_length_a 6.356
_cell_length_b 10.165
_cell_length_c 3.937
_cell_angle_alpha 90.00
_cell_angle_beta 90.00
_cell_angle_gamma 90.00
_symmetry_space_group_name_H-M 'C m m m'
_symmetry_Int_Tables_number 65
_symmetry_space_group_name_Hall '-C 2 2'
loop_
_atom_site_label
_atom_site_type_symbol
_atom_site_fract_x
_atom_site_fract_y
_atom_site_fract_z
Th1 Th 0.000 0.000 0.000
Ni1 Ni 0.000 0.339 0.000
Ni2 Ni 0.000 0.500 0.500
Ni3 Ni 0.198 0.140 0.500
B1 B 0.000 0.295 0.500
```

Main lines, low angle first (2θ = 5–70°):
| index | two_theta | d (Å) | I (rel.) |
| --- | --- | --- | --- |
| 1 1 0 | 16.4 | 5.389 | 29 |
| 2 0 0 | 28.1 | 3.178 | 39 |
| 1 3 0 | 29.9 | 2.990 | 21 |
| 2 0 1 | 36.3 | 2.473 | 56 |
| 1 3 1 | 37.8 | 2.381 | 100 |
| 2 4 0 | 45.7 | 1.985 | 21 |
| 0 0 2 | 46.1 | 1.968 | 29 |
| 3 1 1 | 49.7 | 1.835 | 29 |
| 3 3 0 | 50.8 | 1.796 | 22 |
| 2 4 2 | 67.0 | 1.398 | 25 |

---

[6]
The following is a computed X-ray diffraction stick pattern of Cs4LiPb4O6. It was derived from DFT lattice parameters and positions (GGA-PBE), using Cu Kα, 1.54184 Å.
Kinematic intensities with the Lorentz-polarization factor, no thermal factor.

```
data_Cs4LiPb4O6
_chemical_formula_sum 'Cs8 Li2 Pb8 O12'
_cell_length_a 13.119
_cell_length_b 9.317
_cell_length_c 8.823
_cell_angle_alpha 90.00
_cell_angle_beta 129.82
_cell_angle_gamma 90.00
_symmetry_space_group_name_H-M 'C 1 2 1'
_symmetry_Int_Tables_number 5
loop_
_symmetry_equiv_pos_as_xyz
'x,y,z'
'-x,y,-z'
'x+1/2,y+1/2,z'
'-x+1/2,y+1/2,-z'
loop_
_atom_site_label
_atom_site_type_symbol
_atom_site_fract_x
_atom_site_fract_y
_atom_site_fract_z
Cs1 Cs 0.212 0.000 0.206
Cs2 Cs 0.241 0.470 0.244
Li1 Li 0.000 0.544 0.500
Pb1 Pb 0.027 0.728 0.781
Pb2 Pb 0.030 0.254 0.776
O1 O 0.000 0.247 0.000
O2 O 0.000 0.750 0.500
O3 O 0.009 0.490 0.714
O4 O 0.248 0.741 0.007
```

Main lines, low angle first (2θ = 5–70°):
| index | two_theta | d (Å) | I (rel.) |
| --- | --- | --- | --- |
| 2 2 0 | 26.1 | 3.420 | 100 |
| 0 0 2 | 26.3 | 3.388 | 49 |
| 4 0 -2 | 27.4 | 3.251 | 45 |
| 2 2 -2 | 27.9 | 3.202 | 98 |
| 4 0 0 | 35.6 | 2.519 | 20 |
| 0 4 0 | 38.7 | 2.329 | 23 |
| 4 0 -4 | 41.0 | 2.204 | 22 |
| 4 4 -2 | 48.1 | 1.893 | 18 |
| 2 2 -4 | 48.5 | 1.877 | 19 |
| 6 2 -4 | 49.9 | 1.829 | 19 |

---

[7]
The following is a computed X-ray diffraction stick pattern of K7Na17Zn4Sn8. It was derived from DFT lattice parameters and positions (GGA-PBE), using Cu Kα, 1.54184 Å.
Kinematic intensities with the Lorentz-polarization factor, no thermal factor.

```
data_K7Na17Zn4Sn8
_chemical_formula_sum 'K7 Na17 Zn4 Sn8'
_cell_length_a 9.942
_cell_length_b 11.374
_cell_length_c 11.575
_cell_angle_alpha 60.72
_cell_angle_beta 89.78
_cell_angle_gamma 89.56
_symmetry_space_group_name_H-M 'P 1'
_symmetry_Int_Tables_number 1
loop_
_symmetry_equiv_pos_as_xyz
'x,y,z'
loop_
_atom_site_label
_atom_site_type_symbol
_atom_site_fract_x
_atom_site_fract_y
_atom_site_fract_z
K1 K 0.000 0.000 0.000
K2 K 0.061 0.367 0.710
K3 K 0.138 0.976 0.679
K4 K 0.425 0.479 0.677
K5 K 0.499 0.863 0.706
K6 K 0.568 0.493 0.003
K7 K 0.640 0.886 0.028
Na1 Na 0.007 0.301 0.428
Na2 Na 0.056 0.065 0.279
Na3 Na 0.191 0.604 0.361
Na4 Na 0.200 0.600 0.854
Na5 Na 0.249 0.419 0.185
Na6 Na 0.306 0.919 0.185
Na7 Na 0.353 0.110 0.846
Na8 Na 0.373 0.107 0.362
Na9 Na 0.505 0.557 0.281
Na10 Na 0.560 0.807 0.421
Na11 Na 0.691 0.256 0.348
Na12 Na 0.719 0.259 0.865
Na13 Na 0.754 0.442 0.520
Na14 Na 0.810 0.943 0.522
Na15 Na 0.856 0.745 0.864
Na16 Na 0.878 0.756 0.344
Na17 Na 0.923 0.377 0.051
Zn1 Zn 0.002 0.697 0.610
Zn2 Zn 0.066 0.670 0.094
Zn3 Zn 0.494 0.168 0.096
Zn4 Zn 0.563 0.195 0.613
Sn1 Sn 0.228 0.799 0.497
Sn2 Sn 0.249 0.258 0.016
Sn3 Sn 0.310 0.758 0.014
Sn4 Sn 0.335 0.296 0.501
Sn5 Sn 0.730 0.075 0.202
Sn6 Sn 0.760 0.603 0.693
Sn7 Sn 0.807 0.104 0.693
Sn8 Sn 0.839 0.561 0.203
```

Main lines, low angle first (2θ = 5–70°):
| index | two_theta | d (Å) | I (rel.) |
| --- | --- | --- | --- |
| 0 0 2 | 17.6 | 5.048 | 26 |
| 0 2 2 | 17.9 | 4.955 | 100 |
| 1 0 -2 | 19.7 | 4.501 | 53 |
| 1 2 0 | 19.9 | 4.451 | 30 |
| 1 -2 0 | 20.1 | 4.427 | 32 |
| 0 2 4 | 30.9 | 2.896 | 23 |
| 1 2 4 | 32.2 | 2.782 | 57 |
| -1 2 4 | 32.3 | 2.773 | 47 |
| 1 4 2 | 32.7 | 2.742 | 32 |
| 2 -2 2 | 35.9 | 2.499 | 28 |

---

[8]
The following is a computed X-ray diffraction stick pattern of La4Rh3Pb8. It was derived from DFT lattice parameters and positions (GGA-PBE), using Cu Kα, 1.54184 Å.
Kinematic intensities with the Lorentz-polarization factor, no thermal factor.

```
data_La4Rh3Pb8
_chemical_formula_sum 'La4 Rh3 Pb8'
_cell_length_a 4.755
_cell_length_b 4.755
_cell_length_c 18.538
_cell_angle_alpha 90.00
_cell_angle_beta 90.00
_cell_angle_gamma 90.00
_symmetry_space_group_name_H-M 'P -4 m 2'
_symmetry_Int_Tables_number 115
loop_
_symmetry_equiv_pos_as_xyz
'x,y,z'
'y,-x,-z'
'-x,-y,z'
'-y,x,-z'
'-x,y,z'
'-y,-x,-z'
'x,-y,z'
'y,x,-z'
loop_
_atom_site_label
_atom_site_type_symbol
_atom_site_fract_x
_atom_site_fract_y
_atom_site_fract_z
La1 La 0.000 0.500 0.090
La2 La 0.000 0.500 0.610
Rh1 Rh 0.000 0.000 0.000
Rh2 Rh 0.000 0.000 0.500
Rh3 Rh 0.500 0.500 0.500
Pb1 Pb 0.000 0.000 0.240
Pb2 Pb 0.000 0.500 0.413
Pb3 Pb 0.000 0.500 0.902
Pb4 Pb 0.500 0.500 0.235
```

Main lines, low angle first (2θ = 5–70°):
| index | two_theta | d (Å) | I (rel.) |
| --- | --- | --- | --- |
| 1 1 2 | 28.2 | 3.161 | 33 |
| 0 0 6 | 28.9 | 3.090 | 20 |
| 1 1 4 | 32.9 | 2.722 | 100 |
| 2 0 0 | 37.8 | 2.378 | 50 |
| 1 1 6 | 39.6 | 2.275 | 8 |
| 2 0 6 | 48.3 | 1.884 | 20 |
| 2 2 0 | 54.6 | 1.681 | 18 |
| 1 1 10 | 56.7 | 1.623 | 10 |
| 2 2 6 | 62.9 | 1.477 | 9 |
| 3 1 4 | 65.2 | 1.430 | 28 |

---

[9]
The following is a computed X-ray diffraction stick pattern of LaBi3Ir. It was derived from DFT lattice parameters and positions (GGA-PBE), using Cu Kα, 1.54184 Å.
Kinematic intensities with the Lorentz-polarization factor, no thermal factor.

```
data_LaBi3Ir
_chemical_formula_sum 'La2 Bi6 Ir2'
_cell_length_a 6.333
_cell_length_b 7.129
_cell_length_c 6.559
_cell_angle_alpha 90.00
_cell_angle_beta 90.05
_cell_angle_gamma 90.00
_symmetry_space_group_name_H-M 'P 1 m 1'
_symmetry_Int_Tables_number 6
loop_
_symmetry_equiv_pos_as_xyz
'x,y,z'
'x,-y,z'
loop_
_atom_site_label
_atom_site_type_symbol
_atom_site_fract_x
_atom_site_fract_y
_atom_site_fract_z
La1 La 0.000 0.000 0.000
La2 La 0.324 0.500 0.500
Bi1 Bi 0.033 0.500 0.042
Bi2 Bi 0.291 0.000 0.541
Bi3 Bi 0.475 0.258 0.949
Bi4 Bi 0.849 0.242 0.449
Ir1 Ir 0.589 0.000 0.232
Ir2 Ir 0.735 0.500 0.733
```

Main lines, low angle first (2θ = 5–70°):
| index | two_theta | d (Å) | I (rel.) |
| --- | --- | --- | --- |
| 1 1 1 | 23.2 | 3.839 | 27 |
| 0 0 2 | 27.2 | 3.280 | 21 |
| 2 0 -1 | 31.4 | 2.852 | 51 |
| 1 2 1 | 31.9 | 2.807 | 100 |
| 0 2 2 | 37.3 | 2.413 | 16 |
| 1 2 -2 | 40.0 | 2.255 | 33 |
| 3 2 0 | 50.2 | 1.816 | 18 |
| 1 2 3 | 51.1 | 1.788 | 16 |
| 3 2 -2 | 58.1 | 1.589 | 18 |
| 2 4 -1 | 61.3 | 1.511 | 15 |

---

[10]
The following is a computed X-ray diffraction stick pattern of La2MgC. It was derived from DFT lattice parameters and positions (GGA-PBE), using Cu Kα, 1.54184 Å.
Kinematic intensities with the Lorentz-polarization factor, no thermal factor.

```
data_La2MgC
_chemical_formula_sum 'La8 Mg4 C4'
_cell_length_a 5.463
_cell_length_b 10.487
_cell_length_c 8.157
_cell_angle_alpha 90.00
_cell_angle_beta 90.00
_cell_angle_gamma 90.00
_symmetry_space_group_name_H-M 'I m a 2'
_symmetry_Int_Tables_number 46
loop_
_symmetry_equiv_pos_as_xyz
'x,y,z'
'-x,-y,z'
'-x+1/2,y,z'
'x+1/2,-y,z'
'x+1/2,y+1/2,z+1/2'
'-x+1/2,-y+1/2,z+1/2'
'-x,y+1/2,z+1/2'
'x,-y+1/2,z+1/2'
loop_
_atom_site_label
_atom_site_type_symbol
_atom_site_fract_x
_atom_site_fract_y
_atom_site_fract_z
La1 La 0.250 0.107 0.000
La2 La 0.250 0.715 0.205
Mg1 Mg 0.250 0.064 0.434
C1 C 0.250 0.623 0.480
```

Main lines, low angle first (2θ = 5–70°):
| index | two_theta | d (Å) | I (rel.) |
| --- | --- | --- | --- |
| 0 1 1 | 13.8 | 6.439 | 49 |
| 1 2 1 | 26.0 | 3.432 | 53 |
| 0 2 2 | 27.7 | 3.218 | 46 |
| 1 1 2 | 28.6 | 3.120 | 100 |
| 1 3 0 | 30.4 | 2.944 | 59 |
| 2 0 0 | 32.8 | 2.732 | 38 |
| 0 4 2 | 40.9 | 2.206 | 24 |
| 2 2 2 | 43.5 | 2.082 | 27 |
| 2 4 2 | 53.4 | 1.716 | 17 |
| 2 5 1 | 56.4 | 1.630 | 21 |

---

[11]
The following is a computed X-ray diffraction stick pattern of La3Cd3Rh. It was derived from DFT lattice parameters and positions (GGA-PBE), using Cu Kα, 1.54184 Å.
Kinematic intensities with the Lorentz-polarization factor, no thermal factor.

a b c (Å): 14.707 14.707 14.707
angles (deg): 90.00 90.00 90.00
Space group Fd-3m (No. 227, origin choice 2)
Symmetry-distinct sites (fractional):
La (0.080, 0.375, 0.375) x48
Cd (0.000, 0.000, 0.500) x16
Cd (0.045, 0.045, 0.705) x32
Rh (0.000, 0.000, 0.000) x16

Main lines, low angle first (2θ = 5–70°):
| index | two_theta | d (Å) | I (rel.) |
| --- | --- | --- | --- |
| 4 2 2 | 29.8 | 3.002 | 38 |
| 3 3 3 | 31.6 | 2.830 | 100 |
| 4 4 0 | 34.5 | 2.600 | 85 |
| 4 4 2 | 36.7 | 2.451 | 14 |
| 6 2 2 | 40.7 | 2.217 | 24 |
| 7 3 1 | 47.5 | 1.915 | 12 |
| 6 6 0 | 52.8 | 1.733 | 39 |
| 5 5 5 | 54.0 | 1.698 | 11 |
| 7 7 1 | 62.9 | 1.478 | 20 |
| 10 2 2 | 66.0 | 1.415 | 14 |